Diffraction record for Fe3Co2P6WO24. The X-ray powder pattern is computed, not measured: it uses a crystal structure in the Materials Project, relaxed with PBE+U and Cu Kα (λ = 1.5418 Å).
Kinematic intensities with the Lorentz-polarization factor, no thermal factor.

Principal peaks in the range 10 to 90 degrees two-theta, by angle:
two_theta, I (rel.)
12.5, 23
20.5, 100
20.8, 26
24.2, 67
33.1, 64
35.8, 39
47.4, 28
49.6, 24
56.1, 24
62.7, 19

```
Fe3Co2P6WO24
1.0
4.3389 2.5051 6.9409
-4.3389 2.5051 6.9409
0.0000 -5.0101 6.9409
Fe Co P W O
3 2 6 1 24
direct
0.0000 0.0000 0.0000
0.2117 0.2117 0.2117
0.7138 0.7138 0.7138
0.3517 0.3517 0.3517
0.8563 0.8563 0.8563
0.1020 0.8185 0.4018
0.3110 0.6107 0.9059
0.4018 0.1020 0.8185
0.6107 0.9059 0.3110
0.8185 0.4018 0.1020
0.9059 0.3110 0.6107
0.4995 0.4995 0.4995
0.0452 0.8501 0.2434
0.0981 0.2984 0.4484
0.1157 0.7670 0.9101
0.1769 0.9680 0.3600
0.2434 0.0452 0.8501
0.2661 0.6157 0.4222
0.2984 0.4484 0.0981
0.3578 0.5368 0.7460
0.3600 0.1769 0.9680
0.4222 0.2661 0.6157
0.4484 0.0981 0.2984
0.4672 0.6789 0.8582
0.5368 0.7460 0.3578
0.5995 0.9473 0.7989
0.6157 0.4222 0.2661
0.6789 0.8582 0.4672
0.7460 0.3578 0.5368
0.7670 0.9101 0.1157
0.7989 0.5995 0.9473
0.8501 0.2434 0.0452
0.8582 0.4672 0.6789
0.9101 0.1157 0.7670
0.9473 0.7989 0.5995
0.9680 0.3600 0.1769
```

***

Diffraction record for SrPrFeCoO6. The X-ray powder pattern is computed, not measured: it uses a crystal structure in the Materials Project, relaxed with PBE+U and Cu Kα (λ = 1.5418 Å).
Kinematic intensities with the Lorentz-polarization factor, no thermal factor.

Principal peaks in the range 10 to 90 degrees two-theta, by angle:
two_theta, I (rel.)
19.9, 10
32.6, 100
33.1, 52
40.4, 16
46.2, 18
47.4, 32
58.0, 16
58.8, 30
58.9, 10
68.5, 10

```
SrPrFeCoO6
1.0
5.4179 0.0000 0.0000
-0.0013 5.4216 0.0000
-2.6946 -2.7099 3.9273
Sr Pr Fe Co O
1 1 1 1 6
direct
0.0000 0.0000 0.0000
0.4997 0.5028 0.0000
0.7502 0.2504 0.5001
0.2505 0.7503 0.5003
0.0030 0.5105 0.0062
0.0569 0.0446 0.5242
0.4590 0.4712 0.5066
0.4972 0.9846 0.9938
0.5273 0.9520 0.4915
0.9556 0.5340 0.4780
```

***

Diffraction record for Fe2Co3Sb3O16. The X-ray powder pattern is computed, not measured: it uses a crystal structure in the Materials Project, relaxed with PBE+U and Cu Kα (λ = 1.5418 Å).
Kinematic intensities with the Lorentz-polarization factor, no thermal factor.

Principal peaks in the range 10 to 90 degrees two-theta, by angle:
two_theta, I (rel.)
19.7, 100
19.8, 40
20.1, 23
26.1, 18
34.6, 19
36.0, 51
36.1, 25
40.3, 20
46.5, 20
62.6, 22

```
Fe2Co3Sb3O16
1.0
5.1209 -3.0052 0.0000
5.1209 3.0052 0.0000
-0.1615 0.0000 9.0212
Fe Co Sb O
2 3 3 16
direct
0.0000 0.0000 0.0000
0.6679 0.6679 0.5167
0.1585 0.1585 0.2938
0.4915 0.9911 0.7854
0.9911 0.4915 0.7854
0.1554 0.6607 0.2860
0.4909 0.4909 0.7843
0.6607 0.1554 0.2860
0.0003 0.0003 0.4048
0.1533 0.6517 0.8922
0.1662 0.1662 0.8825
0.2842 0.8424 0.1572
0.3151 0.3151 0.1795
0.3165 0.3165 0.6775
0.3757 0.8132 0.6570
0.4949 0.4949 0.4014
0.4993 0.9918 0.4014
0.6517 0.1533 0.8922
0.6663 0.6663 0.8948
0.8036 0.8036 0.6711
0.8132 0.3757 0.6570
0.8397 0.8397 0.1531
0.8424 0.2842 0.1572
0.9918 0.4993 0.4014
```